1.
# CaB2O6
Calculated powder XRD pattern, λ = 1.5418 Å (Cu Kα). Input: a GGA-PBE-relaxed structure.

Top 10 peaks for 2θ = 15–90°, in order of falling intensity:
| hkl | 2theta | I/Imax |
| --- | --- | --- |
| 2 2 0 | 25.39 | 100 |
| 1 1 1 | 24.06 | 55 |
| 3 3 -1 | 42.64 | 38 |
| 0 2 1 | 26.37 | 36 |
| 0 0 2 | 40.10 | 35 |
| 3 1 -1 | 34.29 | 28 |
| 3 3 1 | 44.60 | 28 |
| 6 0 0 | 57.42 | 27 |
| 1 5 0 | 45.25 | 22 |
| 1 3 -1 | 33.86 | 22 |

Structure:
Unit cell a=9.650 b=10.245 c=4.509 alpha=90.00 beta=94.11 gamma=90.00
Space group C2/c (No. 15)
Symmetry-distinct sites (fractional):
Ca 0.000 0.224 0.250 (multiplicity 4)
B 0.197 0.067 0.823 (multiplicity 8)
O 0.133 0.187 0.708 (multiplicity 8)
O 0.157 0.043 0.126 (multiplicity 8)
O 0.160 0.394 0.178 (multiplicity 8)

2.
# CaB2O10
Calculated powder XRD pattern, λ = 1.5418 Å (Cu Kα). Input: a GGA-PBE-relaxed structure.

Top 10 peaks for 2θ = 15–90°, in order of falling intensity:
| hkl | 2theta | I/Imax |
| --- | --- | --- |
| 2 0 2 | 28.23 | 100 |
| 4 0 -2 | 25.98 | 41 |
| 4 0 0 | 24.06 | 33 |
| 1 1 -2 | 24.74 | 31 |
| 2 2 2 | 40.69 | 27 |
| 2 2 -2 | 35.57 | 22 |
| 1 1 -3 | 34.06 | 21 |
| 5 1 -1 | 31.72 | 20 |
| 5 1 2 | 46.00 | 18 |
| 0 2 0 | 28.73 | 17 |

Structure:
Unit cell a=15.829 b=6.214 c=8.857 alpha=90.00 beta=110.82 gamma=90.00
Space group C2/c (No. 15)
Symmetry-distinct sites (fractional):
Ca 0.000 0.070 0.250 (multiplicity 4)
B 0.051 0.346 0.944 (multiplicity 8)
O 0.014 0.278 0.488 (multiplicity 8)
O 0.070 0.436 0.431 (multiplicity 8)
O 0.090 0.190 0.894 (multiplicity 8)
O 0.183 0.237 0.273 (multiplicity 8)
O 0.239 0.196 0.702 (multiplicity 8)

Repeat the first record exactly.
# CaB2O6
Calculated powder XRD pattern, λ = 1.5418 Å (Cu Kα). Input: a GGA-PBE-relaxed structure.

Top 10 peaks for 2θ = 15–90°, in order of falling intensity:
| hkl | 2theta | I/Imax |
| --- | --- | --- |
| 2 2 0 | 25.39 | 100 |
| 1 1 1 | 24.06 | 55 |
| 3 3 -1 | 42.64 | 38 |
| 0 2 1 | 26.37 | 36 |
| 0 0 2 | 40.10 | 35 |
| 3 1 -1 | 34.29 | 28 |
| 3 3 1 | 44.60 | 28 |
| 6 0 0 | 57.42 | 27 |
| 1 5 0 | 45.25 | 22 |
| 1 3 -1 | 33.86 | 22 |

Structure:
Unit cell a=9.650 b=10.245 c=4.509 alpha=90.00 beta=94.11 gamma=90.00
Space group C2/c (No. 15)
Symmetry-distinct sites (fractional):
Ca 0.000 0.224 0.250 (multiplicity 4)
B 0.197 0.067 0.823 (multiplicity 8)
O 0.133 0.187 0.708 (multiplicity 8)
O 0.157 0.043 0.126 (multiplicity 8)
O 0.160 0.394 0.178 (multiplicity 8)

Which formula does entry 2 have?
CaB2O10